Structure and calculated powder diffraction line list of In5AgS8 (a cell relaxed with PBE; Cu Ka).

Cell and atoms:
```
data_In5AgS8
_chemical_formula_sum 'In5 Ag1 S8'
_cell_length_a 5.6424
_cell_length_b 5.6424
_cell_length_c 11.6549
_cell_angle_alpha 90.00
_cell_angle_beta 90.00
_cell_angle_gamma 90.00
_space_group_name_H-M_alt 'P -4 2 m'
_space_group_IT_number 111
_space_group_name_Hall 'P -4 2'
loop_
_atom_site_label
_atom_site_fract_x
_atom_site_fract_y
_atom_site_fract_z
In1 0.0000 0.0000 0.0000
In2 0.0000 0.5000 0.2524
Ag1 0.5000 0.5000 0.5000
S1 0.2349 0.2349 0.6253
S2 0.2658 0.2658 0.1146
```

Main lines, most intense first (2θ = 15–90°):
2θ 27.1, d = 3.292 Å, rel. 100, hkl 1 1 2; 2θ 44.7, d = 2.027 Å, rel. 40, hkl 2 0 4; 2θ 53.7, d = 1.706 Å, rel. 28, hkl 3 1 2; 2θ 17.5, d = 5.079 Å, rel. 22, hkl 1 0 1; 2θ 45.5, d = 1.995 Å, rel. 19, hkl 2 2 0; 2θ 52.4, d = 1.746 Å, rel. 15, hkl 1 1 6; 2θ 83.5, d = 1.158 Å, rel. 12, hkl 4 2 4; 2θ 71.8, d = 1.314 Å, rel. 11, hkl 3 1 6